The following is a theoretical X-ray powder pattern of DyYFe2O6. It was derived from a cell relaxed with PBE+U, using Cu Kα X-rays.
Neutral-atom scattering factors, no anomalous dispersion.

Principal peaks in the range 2θ = 10–80°, in order of rising 2θ:
(1 1 1), d = 3.468 Å, 2θ 25.69, I = 26; (0 0 2), d = 2.825 Å, 2θ 31.67, I = 19; (2 1 1), d = 2.738 Å, 2θ 32.71, I = 100; (0 2 0), d = 2.670 Å, 2θ 33.56, I = 23; (1 1 3), d = 1.731 Å, 2θ 52.90, I = 19; (2 3 1), d = 1.554 Å, 2θ 59.46, I = 22

Atomic structure:
a b c (Å): 7.7261 5.3409 5.6502
angles (deg): 90.00 90.00 90.00
Positions (direct):
Dy 0.0000 0.2305 0.0000
Dy 0.0000 0.7695 0.5000
Y 0.5000 0.2692 0.1368
Y 0.5000 0.7308 0.6368
Fe 0.2496 0.2501 0.5685
Fe 0.2496 0.7499 0.0685
Fe 0.7504 0.2501 0.5685
Fe 0.7504 0.7499 0.0685
O 0.0000 0.3674 0.6119
O 0.0000 0.6326 0.1119
O 0.1894 0.0572 0.2638
O 0.1894 0.9428 0.7638
O 0.3093 0.4422 0.8737
O 0.3093 0.5578 0.3737
O 0.5000 0.1342 0.5255
O 0.5000 0.8658 0.0255
O 0.6907 0.4422 0.8737
O 0.6907 0.5578 0.3737
O 0.8106 0.0572 0.2638
O 0.8106 0.9428 0.7638